Record 1
# Tl2I3
Simulated XRD peak list, Cu Kα, 1.54184 Å. Input: a PBE-relaxed structure.

The 10 most intense peaks (2θ from 15° to 90°), by angle:
- 21.22°, rel. 27
- 26.80°, rel. 61
- 27.73°, rel. 100
- 28.54°, rel. 24
- 30.44°, rel. 61
- 33.49°, rel. 38
- 38.95°, rel. 20
- 43.22°, rel. 27
- 47.91°, rel. 22
- 62.91°, rel. 20

Structure:
```
data_Tl2I3
_chemical_formula_sum 'Tl8 I12'
_symmetry_space_group_name_H-M 'I 41/a m d'
_symmetry_Int_Tables_number 141
_cell_length_a 6.6523
_cell_length_b 6.6523
_cell_length_c 18.3736
_cell_angle_alpha 90.00
_cell_angle_beta 90.00
_cell_angle_gamma 90.00
loop_
_symmetry_equiv_pos_as_xyz
'x,y,z'
'-x,-y,-z'
'-y+1/4,x+3/4,z+1/4'
'y+1/4,-x+3/4,-z+1/4'
'-x+1/2,-y,z+1/2'
'x+1/2,y,-z+1/2'
'y+1/4,-x+1/4,z+3/4'
'-y+1/4,x+1/4,-z+3/4'
'x,-y,-z'
'-x,y,z'
'-y+1/4,-x+1/4,-z+3/4'
'y+1/4,x+1/4,z+3/4'
'-x+1/2,y,-z+1/2'
'x+1/2,-y,z+1/2'
'y+1/4,x+3/4,-z+1/4'
'-y+1/4,-x+3/4,z+1/4'
'x+1/2,y+1/2,z+1/2'
'-x+1/2,-y+1/2,-z+1/2'
'-y+3/4,x+1/4,z+3/4'
'y+3/4,-x+1/4,-z+3/4'
'-x,-y+1/2,z'
'x,y+1/2,-z'
'y+3/4,-x+3/4,z+1/4'
'-y+3/4,x+3/4,-z+1/4'
'x+1/2,-y+1/2,-z+1/2'
'-x+1/2,y+1/2,z+1/2'
'-y+3/4,-x+3/4,-z+1/4'
'y+3/4,x+3/4,z+1/4'
'-x,y+1/2,-z'
'x,-y+1/2,z'
'y+3/4,x+1/4,-z+3/4'
'-y+3/4,-x+1/4,z+3/4'
loop_
_atom_site_label
_atom_site_fract_x
_atom_site_fract_y
_atom_site_fract_z
Tl1 0.0000 0.2500 0.0717
I1 0.0000 0.0000 0.5000
I2 0.0000 0.2500 0.8750
```

Record 2
# BaAsPd2
Simulated XRD peak list, Cu Kα, 1.54184 Å. Input: a PBE-relaxed structure.

The 10 most intense peaks (2θ from 15° to 90°), by angle:
- 17.74°, rel. 31
- 23.47°, rel. 66
- 26.35°, rel. 100
- 32.13°, rel. 29
- 35.93°, rel. 47
- 38.75°, rel. 35
- 40.80°, rel. 31
- 40.95°, rel. 30
- 44.08°, rel. 25
- 54.24°, rel. 55

Structure:
```
data_BaAsPd2
_chemical_formula_sum 'Ba4 As4 Pd8'
_symmetry_space_group_name_H-M 'I 41/a m d'
_symmetry_Int_Tables_number 141
_cell_length_a 5.2483
_cell_length_b 5.2483
_cell_length_c 16.4342
_cell_angle_alpha 90.00
_cell_angle_beta 90.00
_cell_angle_gamma 90.00
loop_
_symmetry_equiv_pos_as_xyz
'x,y,z'
'-x,-y,-z'
'-y+1/4,x+3/4,z+1/4'
'y+1/4,-x+3/4,-z+1/4'
'-x+1/2,-y,z+1/2'
'x+1/2,y,-z+1/2'
'y+1/4,-x+1/4,z+3/4'
'-y+1/4,x+1/4,-z+3/4'
'x,-y,-z'
'-x,y,z'
'-y+1/4,-x+1/4,-z+3/4'
'y+1/4,x+1/4,z+3/4'
'-x+1/2,y,-z+1/2'
'x+1/2,-y,z+1/2'
'y+1/4,x+3/4,-z+1/4'
'-y+1/4,-x+3/4,z+1/4'
'x+1/2,y+1/2,z+1/2'
'-x+1/2,-y+1/2,-z+1/2'
'-y+3/4,x+1/4,z+3/4'
'y+3/4,-x+1/4,-z+3/4'
'-x,-y+1/2,z'
'x,y+1/2,-z'
'y+3/4,-x+3/4,z+1/4'
'-y+3/4,x+3/4,-z+1/4'
'x+1/2,-y+1/2,-z+1/2'
'-x+1/2,y+1/2,z+1/2'
'-y+3/4,-x+3/4,-z+1/4'
'y+3/4,x+3/4,z+1/4'
'-x,y+1/2,-z'
'x,-y+1/2,z'
'y+3/4,x+1/4,-z+3/4'
'-y+3/4,-x+1/4,z+3/4'
loop_
_atom_site_label
_atom_site_fract_x
_atom_site_fract_y
_atom_site_fract_z
Ba1 0.0000 0.2500 0.3750
As1 0.0000 0.2500 0.8750
Pd1 0.0000 0.0000 0.0000
```

Record 3
# CdSn3Sb4
Simulated XRD peak list, Cu Kα, 1.54184 Å. Input: a PBE-relaxed structure.

The 10 most intense peaks (2θ from 15° to 90°), by angle:
- 22.44°, rel. 100
- 24.66°, rel. 38
- 36.56°, rel. 65
- 39.43°, rel. 46
- 43.32°, rel. 18
- 44.59°, rel. 47
- 54.86°, rel. 18
- 57.94°, rel. 15
- 67.74°, rel. 19
- 71.42°, rel. 12

Structure:
```
data_CdSn3Sb4
_chemical_formula_sum 'Cd3 Sn9 Sb12'
_symmetry_space_group_name_H-M 'R 3 m'
_symmetry_Int_Tables_number 160
_symmetry_space_group_name_Hall 'R 3 -2"'
_cell_length_a 4.9159
_cell_length_b 4.9159
_cell_length_c 43.3303
_cell_angle_alpha 90.00
_cell_angle_beta 90.00
_cell_angle_gamma 120.00
loop_
_atom_site_label
_atom_site_fract_x
_atom_site_fract_y
_atom_site_fract_z
Cd1 0.0000 0.0000 0.0000
Sn1 0.0000 0.0000 0.2438
Sn2 0.0000 0.0000 0.4950
Sn3 0.0000 0.0000 0.7409
Sb1 0.0000 0.0000 0.1765
Sb2 0.0000 0.0000 0.4280
Sb3 0.0000 0.0000 0.6755
Sb4 0.0000 0.0000 0.9314
```

Record 4
# LiNb2P2O10
Simulated XRD peak list, Cu Kα, 1.54184 Å. Input: a PBE-relaxed structure.

The 10 most intense peaks (2θ from 15° to 90°), by angle:
- 19.31°, rel. 35
- 21.91°, rel. 43
- 22.40°, rel. 100
- 22.63°, rel. 45
- 25.95°, rel. 21
- 26.56°, rel. 26
- 27.23°, rel. 61
- 27.65°, rel. 62
- 40.46°, rel. 21
- 45.86°, rel. 35

Structure:
```
data_LiNb2P2O10
_chemical_formula_sum 'Li1 Nb2 P2 O10'
_symmetry_space_group_name_H-M 'P 1 m 1'
_symmetry_Int_Tables_number 6
_symmetry_space_group_name_Hall 'P -2y'
_cell_length_a 5.0369
_cell_length_b 6.4529
_cell_length_c 6.5541
_cell_angle_alpha 90.00
_cell_angle_beta 91.88
_cell_angle_gamma 90.00
loop_
_atom_site_label
_atom_site_fract_x
_atom_site_fract_y
_atom_site_fract_z
Li1 0.0000 0.0000 0.0000
Nb1 0.1534 0.5000 0.8307
Nb2 0.6839 0.0000 0.3417
P1 0.4068 0.5000 0.3362
P2 0.4383 0.0000 0.8319
O1 0.0326 0.0000 0.3106
O2 0.2261 0.5000 0.1414
O3 0.2365 0.5000 0.5276
O4 0.2449 0.1859 0.8424
O5 0.5839 0.3048 0.3368
O6 0.6140 0.0000 0.6481
O7 0.6258 0.0000 0.0230
O8 0.8062 0.5000 0.8248
```

Record 5
# PuMnTe3
Simulated XRD peak list, Cu Kα, 1.54184 Å. Input: a PBE-relaxed structure.

The 10 most intense peaks (2θ from 15° to 90°), by angle:
- 19.96°, rel. 64
- 27.61°, rel. 60
- 28.36°, rel. 49
- 29.30°, rel. 89
- 32.45°, rel. 51
- 32.88°, rel. 54
- 34.94°, rel. 51
- 35.66°, rel. 99
- 37.46°, rel. 100
- 38.18°, rel. 66

Structure:
```
data_PuMnTe3
_chemical_formula_sum 'Pu4 Mn4 Te12'
_symmetry_space_group_name_H-M 'P b c m'
_symmetry_Int_Tables_number 57
_symmetry_space_group_name_Hall '-P 2c 2b'
_cell_length_a 11.8357
_cell_length_b 7.7103
_cell_length_c 6.1364
_cell_angle_alpha 90.00
_cell_angle_beta 90.00
_cell_angle_gamma 90.00
loop_
_atom_site_label
_atom_site_fract_x
_atom_site_fract_y
_atom_site_fract_z
Pu1 0.1619 0.0589 0.2500
Mn1 0.4223 0.2500 0.0000
Te1 0.0417 0.7500 0.0000
Te2 0.2555 0.0716 0.7500
Te3 0.4136 0.5747 0.7500
```

Record 6
# Tl2CdFeCl6
Simulated XRD peak list, Cu Kα, 1.54184 Å. Input: a PBE-relaxed structure.

The 10 most intense peaks (2θ from 15° to 90°), by angle:
- 23.35°, rel. 100
- 25.81°, rel. 36
- 29.32°, rel. 17
- 29.75°, rel. 30
- 36.82°, rel. 35
- 39.46°, rel. 33
- 44.06°, rel. 38
- 47.75°, rel. 17
- 48.56°, rel. 19
- 62.47°, rel. 18

Structure:
```
data_Tl2CdFeCl6
_chemical_formula_sum 'Tl2 Cd1 Fe1 Cl6'
_symmetry_space_group_name_H-M 'P 4 m m'
_symmetry_Int_Tables_number 99
_symmetry_space_group_name_Hall 'P 4 -2'
_cell_length_a 6.9035
_cell_length_b 6.9035
_cell_length_c 6.0914
_cell_angle_alpha 90.00
_cell_angle_beta 90.00
_cell_angle_gamma 90.00
loop_
_atom_site_label
_atom_site_fract_x
_atom_site_fract_y
_atom_site_fract_z
Tl1 0.0000 0.5000 0.0000
Cd1 0.0000 0.0000 0.5267
Fe1 0.5000 0.5000 0.5314
Cl1 0.0000 0.0000 0.1187
Cl2 0.2596 0.2596 0.6509
Cl3 0.5000 0.5000 0.1621
```